[1]
Structure and computed PXRD pattern of NpAgGe2O8 (a GGA-PBE-relaxed structure; Cu Kα (λ = 1.5418 Å)).
No peak broadening, texture or thermal motion is included.

Peak list (10 most intense, 2θ from 10° to 80°, low angle first)
2θ 18.2, intensity 96
2θ 22.4, intensity 80
2θ 31.8, intensity 86
2θ 32.1, intensity 100
2θ 41.7, intensity 23
2θ 45.8, intensity 49
2θ 51.4, intensity 17
2θ 56.8, intensity 41
2θ 64.0, intensity 17
2θ 75.7, intensity 18

```
NpAgGe2O8
1.0
5.6268 0.0000 0.0000
-2.8134 4.8730 0.0000
0.0000 0.0000 6.8035
Np Ag Ge O
1 1 2 8
Cartesian
0.0000 0.0000 0.0000 Np
0.0000 0.0000 3.4018 Ag
0.0000 3.2487 4.7906 Ge
2.8134 1.6243 2.0130 Ge
0.0000 1.6227 5.5721 O
-1.4081 4.0616 5.5721 O
1.4053 0.8114 1.2314 O
0.0000 3.2487 3.0925 O
2.8134 1.6243 3.7110 O
1.4081 4.0616 5.5721 O
4.2215 0.8114 1.2314 O
2.8134 3.2502 1.2314 O
```

[2]
Structure and computed PXRD pattern of Np2PdSe4 (a GGA-PBE-relaxed structure; Cu Kα (λ = 1.5418 Å)).
No peak broadening, texture or thermal motion is included.

Peak list (10 most intense, 2θ from 10° to 80°, low angle first)
2θ 20.9, intensity 30
2θ 25.7, intensity 45
2θ 27.5, intensity 34
2θ 33.7, intensity 100
2θ 34.8, intensity 23
2θ 35.2, intensity 39
2θ 41.2, intensity 31
2θ 41.3, intensity 25
2θ 42.5, intensity 32
2θ 48.6, intensity 30

```
Np2PdSe4
1.0
7.1891 0.0000 0.0000
0.0000 10.8990 0.0000
0.0000 0.0000 4.2576
Np Pd Se
4 2 8
Cartesian
0.8166 2.0178 0.0000 Np
2.7780 7.4673 0.0000 Np
4.4111 3.4317 0.0000 Np
6.3725 8.8812 0.0000 Np
0.0000 5.4495 2.1288 Pd
3.5945 0.0000 2.1288 Pd
0.8237 7.8139 2.1288 Se
1.7980 4.8319 0.0000 Se
1.7965 10.2814 0.0000 Se
2.7708 2.3644 2.1288 Se
4.4182 8.5346 2.1288 Se
5.3926 0.6176 0.0000 Se
5.3910 6.0671 0.0000 Se
6.3654 3.0851 2.1288 Se
```

[3]
Structure and computed PXRD pattern of La5Tb6Nd2 (a GGA-PBE-relaxed structure; Cu Kα (λ = 1.5418 Å)).
No peak broadening, texture or thermal motion is included.

Peak list (10 most intense, 2θ from 10° to 80°, low angle first)
2θ 30.5, intensity 60
2θ 30.8, intensity 100
2θ 31.5, intensity 79
2θ 33.5, intensity 38
2θ 34.3, intensity 24
2θ 35.9, intensity 30
2θ 49.9, intensity 20
2θ 55.8, intensity 20
2θ 59.6, intensity 22
2θ 59.8, intensity 17

```
La5Tb6Nd2
1.0
11.8492 0.0000 0.0000
0.0000 20.9045 0.0000
0.0000 0.0000 3.6550
La Tb Nd
10 12 4
Cartesian
0.0000 0.0000 0.0000 La
0.9230 5.7646 0.0000 La
2.3864 11.4861 0.0000 La
3.5382 1.0338 0.0000 La
5.0016 16.2169 0.0000 La
5.9246 10.4523 0.0000 La
6.8476 4.6876 0.0000 La
8.3111 19.8707 0.0000 La
9.4628 9.4184 0.0000 La
10.9263 15.1399 0.0000 La
0.7187 8.8119 1.8275 Tb
0.9104 2.7787 1.8275 Tb
2.1382 18.1000 0.0000 Tb
3.7864 7.6478 0.0000 Tb
5.0142 13.2309 1.8275 Tb
5.2059 19.2642 1.8275 Tb
6.6433 1.6404 1.8275 Tb
6.8350 7.6736 1.8275 Tb
8.0628 13.2567 0.0000 Tb
9.7111 2.8045 0.0000 Tb
10.9389 18.1258 1.8275 Tb
11.1305 12.0926 1.8275 Tb
2.0946 14.9309 1.8275 Nd
3.8300 4.4786 1.8275 Nd
8.0192 16.4259 1.8275 Nd
9.7547 5.9736 1.8275 Nd
```

[4]
Structure and computed PXRD pattern of CsNpSeO5 (a GGA-PBE-relaxed structure; Cu Kα (λ = 1.5418 Å)).
No peak broadening, texture or thermal motion is included.

Peak list (10 most intense, 2θ from 10° to 80°, low angle first)
2θ 14.3, intensity 79
2θ 24.2, intensity 87
2θ 25.3, intensity 81
2θ 26.4, intensity 100
2θ 27.1, intensity 81
2θ 27.4, intensity 60
2θ 35.0, intensity 25
2θ 38.1, intensity 27
2θ 43.9, intensity 30
2θ 54.0, intensity 26

```
CsNpSeO5
1.0
3.6976 -5.7116 0.0000
3.6976 5.7116 0.0000
-0.8136 0.0000 8.0660
Cs Np Se O
2 2 2 10
Cartesian
3.0874 4.0483 6.0495 Cs
3.4942 -4.0483 2.0165 Cs
3.6976 0.0000 0.0000 Np
3.2908 0.0000 4.0330 Np
3.4942 3.1965 2.0165 Se
3.0874 -3.1965 6.0495 Se
1.0820 0.3880 8.0300 O
2.8063 2.1716 3.2222 O
1.4888 -0.3880 3.9970 O
4.1820 2.1716 0.8108 O
3.0874 0.6307 6.0495 O
3.4942 -0.6307 2.0165 O
2.3996 -2.1716 7.2552 O
5.0928 0.3880 4.0690 O
3.7752 -2.1716 4.8438 O
5.4996 -0.3880 0.0360 O
```

[5]
Structure and computed PXRD pattern of ScFe4Ru (a GGA-PBE-relaxed structure; Cu Kα (λ = 1.5418 Å)).
No peak broadening, texture or thermal motion is included.

Peak list (10 most intense, 2θ from 10° to 80°, low angle first)
2θ 22.5, intensity 8
2θ 26.0, intensity 7
2θ 37.1, intensity 35
2θ 43.8, intensity 100
2θ 45.9, intensity 33
2θ 53.5, intensity 2
2θ 60.4, intensity 3
2θ 66.9, intensity 11
2θ 71.5, intensity 28
2θ 79.0, intensity 22

```
ScFe4Ru
1.0
0.0000 3.4266 3.4266
3.4266 0.0000 3.4266
3.4266 3.4266 0.0000
Sc Fe Ru
1 4 1
Cartesian
0.0000 0.0000 0.0000 Sc
4.2806 2.5726 2.5726 Fe
2.5726 4.2806 2.5726 Fe
2.5726 2.5726 4.2806 Fe
4.2806 4.2806 4.2806 Fe
1.7133 1.7133 1.7133 Ru
```

[6]
Structure and computed PXRD pattern of B2C (a GGA-PBE-relaxed structure; Cu Kα (λ = 1.5418 Å)).
No peak broadening, texture or thermal motion is included.

Peak list (10 most intense, 2θ from 10° to 80°, low angle first)
2θ 12.6, intensity 45
2θ 42.2, intensity 100
2θ 45.6, intensity 3
2θ 49.8, intensity 4
2θ 63.9, intensity 3
2θ 65.7, intensity 3
2θ 68.0, intensity 27
2θ 72.0, intensity 8
2θ 78.1, intensity 3
2θ 79.6, intensity 12

```
B2C
1.0
2.4091 0.0000 0.0000
0.0000 2.4091 0.0000
0.0000 0.0000 14.0735
B C
8 4
Cartesian
0.0000 0.0000 1.9952 B
0.0000 0.0000 12.0783 B
0.0000 1.2045 5.9594 B
0.0000 1.2045 10.7477 B
1.2045 0.0000 3.3259 B
1.2045 0.0000 8.1141 B
1.2045 1.2045 4.6177 B
1.2045 1.2045 9.4559 B
0.0000 0.0000 7.0368 C
0.0000 1.2045 0.9037 C
1.2045 0.0000 13.1698 C
1.2045 1.2045 0.0000 C
```

[7]
Structure and computed PXRD pattern of Hg2Bi (a GGA-PBE-relaxed structure; Cu Kα (λ = 1.5418 Å)).
No peak broadening, texture or thermal motion is included.

Peak list (10 most intense, 2θ from 10° to 80°, low angle first)
2θ 31.0, intensity 57
2θ 31.9, intensity 61
2θ 32.5, intensity 100
2θ 34.5, intensity 38
2θ 36.6, intensity 32
2θ 43.4, intensity 26
2θ 46.7, intensity 21
2θ 54.3, intensity 17
2θ 56.1, intensity 31
2θ 58.8, intensity 19

```
Hg2Bi
1.0
9.4490 0.0000 0.0000
0.0000 6.2831 0.0000
-0.4568 0.0000 5.7677
Hg Bi
8 4
Cartesian
1.4432 0.7125 1.4552 Hg
1.2148 5.5705 4.3391 Hg
2.8245 2.4290 4.3124 Hg
3.0529 3.8541 1.4286 Hg
5.9393 2.4290 4.3391 Hg
6.1677 3.8541 1.4552 Hg
7.7774 0.7125 1.4286 Hg
7.5491 5.5705 4.3124 Hg
-0.3426 2.4123 4.3258 Bi
-0.1142 3.8707 1.4419 Bi
4.6103 0.7292 1.4419 Bi
4.3819 5.5539 4.3258 Bi
```

[8]
Structure and computed PXRD pattern of TaCu3P4 (a GGA-PBE-relaxed structure; Cu Kα (λ = 1.5418 Å)).
No peak broadening, texture or thermal motion is included.

Peak list (10 most intense, 2θ from 10° to 80°, low angle first)
2θ 16.2, intensity 100
2θ 23.0, intensity 17
2θ 28.3, intensity 10
2θ 32.8, intensity 21
2θ 36.8, intensity 57
2θ 47.1, intensity 56
2θ 50.2, intensity 28
2θ 61.2, intensity 11
2θ 68.8, intensity 9
2θ 71.2, intensity 16

```
TaCu3P4
1.0
5.4571 0.0000 0.0000
0.0000 5.4571 0.0000
0.0000 0.0000 5.4571
Ta Cu P
1 3 4
Cartesian
0.0000 0.0000 0.0000 Ta
0.0000 0.0000 2.7286 Cu
0.0000 2.7286 0.0000 Cu
2.7286 0.0000 0.0000 Cu
1.3896 1.3896 1.3896 P
1.3896 4.0675 4.0675 P
4.0675 1.3896 4.0675 P
4.0675 4.0675 1.3896 P
```

[9]
Structure and computed PXRD pattern of SmY3Au4 (a GGA-PBE-relaxed structure; Cu Kα (λ = 1.5418 Å)).
No peak broadening, texture or thermal motion is included.

Peak list (10 most intense, 2θ from 10° to 80°, low angle first)
2θ 24.5, intensity 5
2θ 24.6, intensity 11
2θ 35.0, intensity 100
2θ 35.1, intensity 50
2θ 50.2, intensity 9
2θ 50.5, intensity 18
2θ 62.7, intensity 18
2θ 62.9, intensity 37
2θ 73.9, intensity 11
2θ 74.2, intensity 6

```
SmY3Au4
1.0
3.6155 0.0000 0.0000
0.0000 3.6155 0.0000
0.0000 0.0000 14.5487
Sm Y Au
1 3 4
Cartesian
0.0000 0.0000 0.0000 Sm
0.0000 0.0000 3.6710 Y
0.0000 0.0000 7.2743 Y
0.0000 0.0000 10.8777 Y
1.8077 1.8077 1.9199 Au
1.8077 1.8077 5.4698 Au
1.8077 1.8077 9.0788 Au
1.8077 1.8077 12.6288 Au
```

[10]
Structure and computed PXRD pattern of Zr6FeSn2H10 (a GGA-PBE-relaxed structure; Cu Kα (λ = 1.5418 Å)).
No peak broadening, texture or thermal motion is included.

Peak list (10 most intense, 2θ from 10° to 80°, low angle first)
2θ 32.8, intensity 100
2θ 33.5, intensity 61
2θ 35.3, intensity 70
2θ 35.7, intensity 24
2θ 38.1, intensity 57
2θ 41.8, intensity 40
2θ 49.8, intensity 17
2θ 59.8, intensity 16
2θ 61.4, intensity 20
2θ 62.5, intensity 31

```
Zr6FeSn2H10
1.0
8.1781 0.0000 0.0000
-4.0890 7.0824 0.0000
0.0000 0.0000 7.3188
Zr Fe Sn H
12 2 4 20
Cartesian
-3.0451 5.2742 0.0000 Zr
-3.0451 5.2742 3.6594 Zr
-1.3312 2.9752 1.8297 Zr
1.0440 1.8082 0.0000 Zr
1.0440 1.8082 3.6594 Zr
-0.8468 6.7477 1.8297 Zr
3.2422 0.3347 5.4891 Zr
2.1780 4.4419 1.8297 Zr
2.7578 4.1072 5.4891 Zr
6.0901 0.0000 0.0000 Zr
6.0901 0.0000 3.6594 Zr
6.2671 2.6405 5.4891 Zr
0.0000 0.0000 1.8297 Fe
0.0000 0.0000 5.4891 Fe
0.0000 4.7216 3.9686 Sn
0.0000 4.7216 7.0096 Sn
4.0890 2.3608 0.3092 Sn
4.0890 2.3608 3.3502 Sn
0.0000 0.0000 0.0000 H
0.0000 0.0000 3.6594 H
-1.1357 1.9671 0.0000 H
-1.1357 1.9671 3.6594 H
-1.9932 5.0030 1.8297 H
-2.6303 6.2323 5.4891 H
0.0069 1.6884 5.4891 H
1.4588 0.8502 1.8297 H
2.2714 0.0000 0.0000 H
2.2714 0.0000 3.6594 H
0.7529 2.8548 1.8297 H
2.0959 2.0794 5.4891 H
1.2403 6.3070 1.8297 H
5.3293 0.7754 5.4891 H
2.9533 5.1153 0.0000 H
2.9533 5.1153 3.6594 H
2.6234 6.2442 5.4891 H
6.7124 0.8383 1.8297 H
4.0959 5.3940 1.8297 H
4.8419 4.2276 5.4891 H
```

[11]
Structure and computed PXRD pattern of Li4CdRh2 (a GGA-PBE-relaxed structure; Cu Kα (λ = 1.5418 Å)).
No peak broadening, texture or thermal motion is included.

Peak list (10 most intense, 2θ from 10° to 80°, low angle first)
2θ 20.7, intensity 66
2θ 26.0, intensity 32
2θ 27.0, intensity 100
2θ 33.0, intensity 35
2θ 38.9, intensity 67
2θ 40.7, intensity 33
2θ 41.1, intensity 22
2θ 43.1, intensity 33
2θ 44.1, intensity 21
2θ 46.1, intensity 46

```
Li4CdRh2
1.0
4.7640 0.0000 0.0000
0.0000 9.8943 0.0000
0.0000 0.0000 4.4348
Li Cd Rh
8 2 4
Cartesian
0.1355 1.9081 0.0000 Li
0.9962 9.2489 2.2174 Li
1.3858 4.3017 2.2174 Li
2.2465 6.8552 0.0000 Li
2.5175 3.0391 0.0000 Li
3.3782 5.5926 2.2174 Li
3.7678 0.6454 2.2174 Li
4.6286 7.9863 0.0000 Li
0.0000 4.9472 0.0000 Cd
2.3820 0.0000 0.0000 Cd
0.8594 6.7818 2.2174 Rh
1.5226 1.8346 2.2174 Rh
3.2414 8.0597 2.2174 Rh
3.9046 3.1126 2.2174 Rh
```

[12]
Structure and computed PXRD pattern of P2Pd3S8 (a GGA-PBE-relaxed structure; Cu Kα (λ = 1.5418 Å)).
No peak broadening, texture or thermal motion is included.

Peak list (10 most intense, 2θ from 10° to 80°, low angle first)
2θ 11.8, intensity 100
2θ 14.2, intensity 53
2θ 18.5, intensity 25
2θ 27.5, intensity 37
2θ 27.7, intensity 13
2θ 31.1, intensity 65
2θ 37.5, intensity 51
2θ 46.5, intensity 27
2θ 50.8, intensity 26
2θ 57.3, intensity 18

```
P2Pd3S8
1.0
7.1901 0.0000 0.0000
-3.5951 6.2268 0.0000
0.0000 0.0000 7.5121
P Pd S
2 3 8
Cartesian
0.0000 4.1512 2.3813 P
3.5951 2.0756 5.1308 P
-1.7975 3.1134 0.0000 Pd
3.5951 0.0000 0.0000 Pd
1.7975 3.1134 0.0000 Pd
0.0000 2.3104 1.3082 S
-1.5942 5.0716 1.3082 S
0.0000 4.1512 4.2954 S
2.0008 1.1552 6.2039 S
1.5942 5.0716 1.3082 S
3.5951 2.0756 3.2168 S
5.1893 1.1552 6.2039 S
3.5951 3.9165 6.2039 S
```